This entry pairs a crystal structure of DyTh2Te6 with its calculated X-ray powder pattern. Radiation: Cu Kα (weighted mean of Kα1 and Kα2). Structure: a structure optimized by DFT (PBE).
Kinematic intensities with the Lorentz-polarization factor, no thermal factor.

Cell: 7.3584 7.3584 13.7214 Å, 90.00 90.00 90.00°
Space group P4_2/mnm (No. 136)
One atom of each set of equivalent atoms:
Dy (0.0000, 0.0000, 0.0000)
Th (0.0000, 0.0000, 0.3317)
Te (0.2008, 0.2008, 0.1628)
Te (0.2024, 0.2024, 0.5000)

The 10 most intense peaks (5 to 70 degrees two-theta), in order of falling intensity:
2θ (°)	Rel. int.	hkl
33.55	100.0	2 1 3
17.04	94.4	1 1 0
25.94	72.2	1 1 3
41.79	62.9	3 0 3
34.47	45.6	2 2 0
22.89	30.1	1 0 3
53.34	26.3	2 2 6
67.77	25.4	3 3 6
39.40	23.4	0 0 6
27.10	23.4	2 1 0